Diffraction record for NpGa2TcH6. The powder X-ray diffraction pattern is simulated, not measured: it uses a DFT-relaxed cell (GGA-PBE, Alexandria) and Cu Kα (λ = 1.5418 Å).
Lines closer than 0.1° are merged.

Structural model:
a b c (Å): 6.5364 7.1913 4.3862
angles (deg): 90.00 90.00 90.00
Positions (direct):
Np1 0.0000 0.0000 0.0000
Np2 0.5000 0.5000 0.5000
Ga1 0.0351 0.2851 0.5000
Ga2 0.4649 0.7851 0.0000
Ga3 0.5351 0.2149 0.0000
Ga4 0.9649 0.7149 0.5000
Tc1 0.0000 0.5000 0.0000
Tc2 0.5000 0.0000 0.5000
H1 0.1436 0.7097 0.0000
H2 0.2084 0.4335 0.2332
H3 0.2084 0.4335 0.7668
H4 0.2916 0.9335 0.2668
H5 0.2916 0.9335 0.7332
H6 0.3564 0.2097 0.5000
H7 0.6436 0.7903 0.5000
H8 0.7084 0.0665 0.2668
H9 0.7084 0.0665 0.7332
H10 0.7916 0.5665 0.2332
H11 0.7916 0.5665 0.7668
H12 0.8564 0.2903 0.0000

Largest 10 diffraction maxima, in order of falling intensity, 5 to 70 degrees two-theta:
Position (°2θ)	d/Å	I/Imax	index
35.07	2.559	100	1 2 1
27.29	3.268	48	2 0 0
53.42	1.715	27	3 2 1
24.44	3.642	21	1 0 1
50.09	1.821	19	2 0 2
41.16	2.193	17	0 0 2
23.76	3.745	16	0 1 1
24.76	3.596	11	0 2 0
36.49	2.462	11	2 1 1
18.34	4.837	10	1 1 0